This entry pairs a crystal structure of Sm2HgI with its simulated powder diffractogram. Radiation: λ = 1.5418 Å (Cu Kα). Structure: a crystal structure in Alexandria, relaxed with PBE.
Kinematic intensities with the Lorentz-polarization factor, no thermal factor.

Structural model:
Lattice parameters (Å, degrees): 3.9394 3.9394 27.2637 90.00 90.00 120.00
Space group R3m (No. 160, hexagonal axes)
One atom of each set of equivalent atoms:
Sm (0.0000, 0.0000, 0.0000) (multiplicity 3)
Sm (0.0000, 0.0000, 0.1724) (multiplicity 3)
Hg (0.0000, 0.0000, 0.5863) (multiplicity 3)
I (0.0000, 0.0000, 0.4193) (multiplicity 3)

Largest 10 diffraction maxima, low angle first, 2θ from 5° to 70°:
2θ = 26.9°, I 42, hkl 0 1 2
2θ = 30.9°, I 100, hkl 0 1 5
2θ = 35.0°, I 63, hkl 1 0 7
2θ = 39.7°, I 22, hkl 0 0 12
2θ = 42.4°, I 18, hkl 1 0 10
2θ = 46.1°, I 44, hkl 1 1 0
2θ = 56.5°, I 18, hkl 2 0 5
2θ = 59.1°, I 14, hkl 0 2 7
2θ = 62.4°, I 35, hkl 1 1 12
2θ = 64.2°, I 14, hkl 0 1 17



This entry pairs a crystal structure of SmHgI6 with its simulated powder diffractogram. Radiation: λ = 1.5418 Å (Cu Kα). Structure: a crystal structure in Alexandria, relaxed with PBE.
Kinematic intensities with the Lorentz-polarization factor, no thermal factor.

Structural model:
Lattice parameters (Å, degrees): 7.3879 7.7688 7.9862 111.51 95.04 115.50
Space group P-1 (No. 2)
One atom of each set of equivalent atoms:
Sm (0.0000, 0.0000, 0.0000) (multiplicity 1)
Hg (0.5000, 0.0000, 0.5000) (multiplicity 1)
I (0.2145, 0.8028, 0.7585) (multiplicity 2)
I (0.2572, 0.1575, 0.4209) (multiplicity 2)
I (0.2645, 0.4573, 0.0399) (multiplicity 2)

Largest 10 diffraction maxima, low angle first, 2θ from 5° to 70°:
2θ = 14.1°, I 54, hkl 0 1 0
2θ = 17.2°, I 44, hkl 1 -1 1
2θ = 22.1°, I 43, hkl 1 1 -1
2θ = 22.8°, I 100, hkl 0 1 1
2θ = 26.4°, I 100, hkl 1 1 -2
2θ = 26.7°, I 43, hkl 1 -1 2
2θ = 33.9°, I 53, hkl 1 2 -1
2θ = 36.4°, I 78, hkl 1 0 -3
2θ = 37.9°, I 45, hkl 2 -3 0
2θ = 41.8°, I 41, hkl 1 -3 3